Entry 1:
Structure and simulated powder XRD pattern of RbAg3I4 (a DFT-relaxed cell (GGA-PBE, Alexandria); λ = 1.5418 Å (Cu Kα)).

Main lines, low angle first (5° ≤ 2θ ≤ 70°):
| 2θ/deg | intensity |
| --- | --- |
| 20.82 | 100 |
| 21.22 | 53 |
| 21.77 | 76 |
| 23.52 | 68 |
| 23.89 | 30 |
| 36.23 | 45 |
| 36.96 | 77 |
| 39.26 | 72 |
| 39.49 | 33 |
| 43.29 | 44 |

Structural model:
Cell: 9.9189 8.3728 8.1649 Å, 90.00 90.00 90.00°
Fractional coordinates of all 16 atoms:
1 Rb 0.0000 0.1799 0.0000
2 Rb 0.5000 0.8201 0.5000
3 Ag 0.0000 0.8077 0.5221
4 Ag 0.2487 0.3330 0.5338
5 Ag 0.2513 0.6670 0.0338
6 Ag 0.5000 0.1923 0.0221
7 Ag 0.7487 0.6670 0.0338
8 Ag 0.7513 0.3330 0.5338
9 I 0.0000 0.1507 0.5613
10 I 0.0000 0.7806 0.1709
11 I 0.2140 0.6394 0.6843
12 I 0.2860 0.3606 0.1843
13 I 0.5000 0.2194 0.6709
14 I 0.5000 0.8493 0.0613
15 I 0.7140 0.3606 0.1843
16 I 0.7860 0.6394 0.6843

***

Entry 2:
Structure and simulated powder XRD pattern of Na3HfTi2S6 (a DFT-relaxed cell (GGA-PBE, Alexandria); λ = 1.5418 Å (Cu Kα)).

Main lines, low angle first (5° ≤ 2θ ≤ 70°):
| 2θ/deg | intensity |
| --- | --- |
| 13.18 | 68 |
| 16.93 | 19 |
| 18.58 | 15 |
| 21.05 | 12 |
| 28.85 | 17 |
| 33.70 | 100 |
| 42.65 | 15 |
| 46.25 | 39 |
| 50.48 | 30 |
| 62.07 | 15 |

Structural model:
Cell: 6.2636 6.2636 7.0372 Å, 98.53 98.53 120.03°
Fractional coordinates of all 12 atoms:
1 Na 0.0000 0.0000 0.0000
2 Na 0.3341 0.6659 0.0000
3 Na 0.6659 0.3341 0.0000
4 Hf 0.5000 0.5000 0.5000
5 Ti 0.1674 0.8326 0.5000
6 Ti 0.8326 0.1674 0.5000
7 S 0.0912 0.4282 0.2848
8 S 0.2343 0.2343 0.7146
9 S 0.4282 0.0912 0.2848
10 S 0.5718 0.9088 0.7152
11 S 0.7657 0.7657 0.2854
12 S 0.9088 0.5718 0.7152

***

Entry 3:
Structure and simulated powder XRD pattern of Dy3TiAg3Te8 (a DFT-relaxed cell (GGA-PBE, Alexandria); λ = 1.5418 Å (Cu Kα)).

Main lines, low angle first (5° ≤ 2θ ≤ 70°):
| 2θ/deg | intensity |
| --- | --- |
| 14.48 | 7 |
| 29.19 | 100 |
| 41.46 | 38 |
| 42.05 | 36 |
| 51.00 | 7 |
| 52.01 | 19 |
| 60.48 | 8 |
| 68.07 | 5 |
| 68.17 | 5 |
| 69.01 | 15 |

Structural model:
Cell: 8.5953 8.5953 8.7262 Å, 119.65 119.65 60.00°
Fractional coordinates of all 15 atoms:
1 Dy 0.0000 0.0000 0.0000
2 Dy 0.0000 0.5000 0.0000
3 Dy 0.5000 0.0000 0.0000
4 Ti 0.5000 0.5000 0.0000
5 Ag 0.0000 0.5000 0.5000
6 Ag 0.5000 0.0000 0.5000
7 Ag 0.5000 0.5000 0.5000
8 Te 0.2529 0.2529 0.2578
9 Te 0.2665 0.2665 0.7638
10 Te 0.2665 0.7297 0.7637
11 Te 0.2703 0.7335 0.2363
12 Te 0.7297 0.2665 0.7637
13 Te 0.7335 0.2703 0.2363
14 Te 0.7335 0.7335 0.2362
15 Te 0.7471 0.7471 0.7422

***

Entry 4:
Structure and simulated powder XRD pattern of LiNd3 (a DFT-relaxed cell (GGA-PBE, Alexandria); λ = 1.5418 Å (Cu Kα)).

Main lines, low angle first (5° ≤ 2θ ≤ 70°):
| 2θ/deg | intensity |
| --- | --- |
| 19.20 | 23 |
| 22.21 | 12 |
| 31.61 | 100 |
| 37.25 | 13 |
| 45.30 | 18 |
| 49.63 | 6 |
| 51.01 | 5 |
| 56.29 | 39 |
| 60.04 | 4 |
| 66.00 | 12 |

Structural model:
Cell: 8.0068 8.0068 8.0068 Å, 90.00 90.00 90.00°
Fractional coordinates of all 16 atoms:
1 Li 0.0000 0.0000 0.0000
2 Li 0.0000 0.5000 0.5000
3 Li 0.5000 0.0000 0.5000
4 Li 0.5000 0.5000 0.0000
5 Nd 0.0000 0.0000 0.5000
6 Nd 0.0000 0.5000 0.0000
7 Nd 0.2500 0.2500 0.2500
8 Nd 0.2500 0.2500 0.7500
9 Nd 0.2500 0.7500 0.2500
10 Nd 0.2500 0.7500 0.7500
11 Nd 0.5000 0.0000 0.0000
12 Nd 0.5000 0.5000 0.5000
13 Nd 0.7500 0.2500 0.2500
14 Nd 0.7500 0.2500 0.7500
15 Nd 0.7500 0.7500 0.2500
16 Nd 0.7500 0.7500 0.7500

***

Entry 5:
Structure and simulated powder XRD pattern of B3C5 (a DFT-relaxed cell (GGA-PBE, Alexandria); λ = 1.5418 Å (Cu Kα)).

Main lines, low angle first (5° ≤ 2θ ≤ 70°):
| 2θ/deg | intensity |
| --- | --- |
| 16.68 | 44 |
| 22.89 | 6 |
| 28.10 | 3 |
| 40.64 | 43 |
| 41.68 | 68 |
| 42.68 | 100 |
| 49.80 | 2 |
| 56.54 | 3 |
| 68.58 | 2 |
| 69.97 | 27 |

Structural model:
Cell: 3.8871 2.5270 5.3152 Å, 90.00 91.49 90.00°
Fractional coordinates of all 8 atoms:
1 B 0.0000 0.0000 0.0000
2 B 0.2471 0.0000 0.3423
3 B 0.5411 0.5000 0.2849
4 C 0.2831 0.0000 0.7927
5 C 0.5106 0.5000 0.7872
6 C 0.7528 0.5000 0.0345
7 C 0.7609 0.5000 0.5635
8 C 0.9854 0.0000 0.5599

***

Entry 6:
Structure and simulated powder XRD pattern of Pm3Nd2Tm (a DFT-relaxed cell (GGA-PBE, Alexandria); λ = 1.5418 Å (Cu Kα)).

Main lines, low angle first (5° ≤ 2θ ≤ 70°):
| 2θ/deg | intensity |
| --- | --- |
| 26.54 | 34 |
| 28.16 | 100 |
| 29.26 | 25 |
| 29.95 | 82 |
| 30.12 | 72 |
| 30.95 | 45 |
| 33.17 | 71 |
| 35.60 | 35 |
| 40.41 | 74 |
| 63.16 | 35 |

Structural model:
Cell: 6.7757 17.9010 3.4193 Å, 90.00 90.00 90.00°
Fractional coordinates of all 12 atoms:
1 Pm 0.0000 0.0000 0.0000
2 Pm 0.2415 0.3215 0.0000
3 Pm 0.2585 0.8215 0.5000
4 Pm 0.5000 0.5000 0.5000
5 Pm 0.7415 0.1785 0.5000
6 Pm 0.7585 0.6785 0.0000
7 Nd 0.2359 0.1499 0.5000
8 Nd 0.2641 0.6499 0.0000
9 Nd 0.7359 0.3501 0.0000
10 Nd 0.7641 0.8501 0.5000
11 Tm 0.0000 0.5000 0.0000
12 Tm 0.5000 0.0000 0.5000

***

Entry 7:
Structure and simulated powder XRD pattern of TmPd8Au2 (a DFT-relaxed cell (GGA-PBE, Alexandria); λ = 1.5418 Å (Cu Kα)).

Main lines, low angle first (5° ≤ 2θ ≤ 70°):
| 2θ/deg | intensity |
| --- | --- |
| 27.37 | 34 |
| 36.49 | 58 |
| 36.80 | 86 |
| 37.87 | 100 |
| 38.41 | 55 |
| 38.75 | 29 |
| 41.56 | 46 |
| 42.15 | 93 |
| 44.69 | 40 |
| 49.82 | 30 |

Structural model:
Cell: 7.9444 7.9444 4.9241 Å, 108.03 108.03 124.49°
Fractional coordinates of all 11 atoms:
1 Tm 0.0000 0.0000 0.0000
2 Pd 0.1014 0.3775 0.7364
3 Pd 0.1926 0.8074 0.0000
4 Pd 0.3775 0.1014 0.7364
5 Pd 0.4905 0.4905 0.2418
6 Pd 0.5095 0.5095 0.7582
7 Pd 0.6225 0.8986 0.2636
8 Pd 0.8074 0.1926 0.0000
9 Pd 0.8986 0.6225 0.2636
10 Au 0.3185 0.6815 0.5000
11 Au 0.6815 0.3185 0.5000

***

Entry 8:
Structure and simulated powder XRD pattern of TbPa2As (a DFT-relaxed cell (GGA-PBE, Alexandria); λ = 1.5418 Å (Cu Kα)).

Main lines, low angle first (5° ≤ 2θ ≤ 70°):
| 2θ/deg | intensity |
| --- | --- |
| 25.47 | 55 |
| 30.21 | 99 |
| 30.62 | 67 |
| 33.34 | 54 |
| 37.94 | 44 |
| 41.80 | 100 |
| 43.93 | 33 |
| 53.40 | 50 |
| 60.06 | 32 |
| 67.34 | 33 |

Structural model:
Cell: 3.4314 3.4314 31.4758 Å, 90.00 90.00 120.00°
Fractional coordinates of all 12 atoms:
1 Tb 0.0000 0.0000 0.0000
2 Tb 0.3333 0.6667 0.6667
3 Tb 0.6667 0.3333 0.3333
4 Pa 0.0000 0.0000 0.1012
5 Pa 0.0000 0.0000 0.8988
6 Pa 0.3333 0.6667 0.5655
7 Pa 0.3333 0.6667 0.7678
8 Pa 0.6667 0.3333 0.2322
9 Pa 0.6667 0.3333 0.4345
10 As 0.0000 0.0000 0.5000
11 As 0.3333 0.6667 0.1667
12 As 0.6667 0.3333 0.8333

***

What is the formula in the second record?
Na3HfTi2S6